Diffraction record for TlNiW4C2. The XRD peak list is computed, not measured: it uses a DFT-relaxed cell (GGA-PBE, OQMD) and CuKα.
Lines closer than 0.1° are merged.

Atomic structure:
```
data_TlNiW4C2
_chemical_formula_sum 'Tl1 Ni1 W4 C2'
_cell_length_a 3.1146
_cell_length_b 3.1146
_cell_length_c 13.3559
_cell_angle_alpha 90.00
_cell_angle_beta 90.00
_cell_angle_gamma 120.00
_space_group_name_H-M_alt 'P -6 m 2'
_space_group_IT_number 187
_space_group_name_Hall 'P -6 2'
loop_
_atom_site_label
_atom_site_fract_x
_atom_site_fract_y
_atom_site_fract_z
Tl1 0.0000 0.0000 0.0000
Ni1 0.6667 0.3333 0.5000
W1 0.0000 0.0000 0.3561
W2 0.6667 0.3333 0.1856
C1 0.3333 0.6667 0.2693
```

Main lines, most intense first (2θ = 5–70°):
- 2θ 39.0, intensity 100, (1 0 3)
- 2θ 33.2, intensity 28, (1 0 0)
- 2θ 59.3, intensity 24, (1 1 0)
- 2θ 40.5, intensity 13, (0 0 6)
- 2θ 35.9, intensity 13, (1 0 2)
- 2θ 65.8, intensity 13, (1 0 8)
- 2θ 53.4, intensity 10, (1 0 6)
- 2θ 33.5, intensity 10, (0 0 5)
- 2θ 69.9, intensity 8, (1 1 5)
- 2θ 47.9, intensity 7, (1 0 5)

***

Diffraction record for YTmNi2C4. The XRD peak list is computed, not measured: it uses a DFT-relaxed cell (GGA-PBE, OQMD) and CuKα.
Lines closer than 0.1° are merged.

Atomic structure:
```
data_YTmNi2C4
_chemical_formula_sum 'Y1 Tm1 Ni2 C4'
_cell_length_a 3.514
_cell_length_b 3.514
_cell_length_c 7.399
_cell_angle_alpha 90.00
_cell_angle_beta 90.00
_cell_angle_gamma 90.00
_space_group_name_H-M_alt 'P 4 m m'
_space_group_IT_number 99
loop_
_space_group_symop_operation_xyz
'x,y,z'
'-y,x,z'
'-x,-y,z'
'y,-x,z'
'-x,y,z'
'y,x,z'
'x,-y,z'
'-y,-x,z'
loop_
_atom_site_label
_atom_site_fract_x
_atom_site_fract_y
_atom_site_fract_z
Y1 0.000 0.000 0.000
Tm1 0.500 0.500 0.667
Ni1 0.000 0.500 0.334
C1 0.000 0.000 0.489
C2 0.000 0.000 0.676
C3 0.500 0.500 0.174
C4 0.500 0.500 0.986
```

Main lines, most intense first (2θ = 5–70°):
- 2θ 28.1, intensity 100, (1 0 1)
- 2θ 38.2, intensity 89, (1 1 1)
- 2θ 35.2, intensity 79, (1 0 2)
- 2θ 43.9, intensity 66, (1 1 2)
- 2θ 36.4, intensity 53, (0 0 3)
- 2θ 52.0, intensity 44, (2 0 0)
- 2θ 65.2, intensity 37, (2 0 3)
- 2θ 64.4, intensity 27, (2 1 2)
- 2θ 60.2, intensity 26, (2 1 1)
- 2θ 62.6, intensity 23, (1 1 4)

***

Diffraction record for Ni10W3C3. The XRD peak list is computed, not measured: it uses a DFT-relaxed cell (GGA-PBE, OQMD) and CuKα.
Lines closer than 0.1° are merged.

Atomic structure:
```
data_Ni10W3C3
_chemical_formula_sum 'Ni20 W6 C6'
_cell_length_a 7.3775
_cell_length_b 7.3775
_cell_length_c 7.8286
_cell_angle_alpha 90.00
_cell_angle_beta 90.00
_cell_angle_gamma 120.00
_space_group_name_H-M_alt 'P 63/m m c'
_space_group_IT_number 194
_space_group_name_Hall '-P 6c 2c'
loop_
_atom_site_label
_atom_site_fract_x
_atom_site_fract_y
_atom_site_fract_z
Ni1 0.0000 0.0000 0.0000
Ni2 0.1094 0.2188 0.2500
Ni3 0.2015 0.4031 0.5496
W1 0.0908 0.5454 0.2500
C1 0.0000 0.5000 0.0000
```

Main lines, most intense first (2θ = 5–70°):
- 2θ 44.1, intensity 100, (3 0 1)
- 2θ 17.9, intensity 31, (1 0 1)
- 2θ 36.3, intensity 30, (2 0 2)
- 2θ 37.2, intensity 25, (1 0 3)
- 2θ 46.4, intensity 15, (0 0 4)
- 2θ 27.9, intensity 15, (2 0 0)
- 2θ 42.4, intensity 15, (3 0 0)
- 2θ 39.0, intensity 14, (2 1 1)
- 2θ 64.7, intensity 11, (3 0 4)
- 2θ 22.7, intensity 11, (0 0 2)

***

Diffraction record for Y3Ni4C7. The XRD peak list is computed, not measured: it uses a DFT-relaxed cell (GGA-PBE, OQMD) and CuKα.
Lines closer than 0.1° are merged.

Atomic structure:
```
data_Y3Ni4C7
_chemical_formula_sum 'Y6 Ni8 C14'
_cell_length_a 3.525
_cell_length_b 3.525
_cell_length_c 24.936
_cell_angle_alpha 90.00
_cell_angle_beta 90.00
_cell_angle_gamma 90.00
_space_group_name_H-M_alt 'I 4/m m m'
_space_group_IT_number 139
_space_group_name_Hall '-I 4 2'
loop_
_atom_site_label
_atom_site_fract_x
_atom_site_fract_y
_atom_site_fract_z
Y1 0.000 0.000 0.000
Y2 0.000 0.000 0.301
Ni1 0.000 0.500 0.100
C1 0.000 0.000 0.148
C2 0.000 0.000 0.203
C3 0.000 0.000 0.444
C4 0.000 0.000 0.500
```

Main lines, most intense first (2θ = 5–70°):
- 2θ 38.9, intensity 100, (1 1 4)
- 2θ 42.3, intensity 90, (1 1 6)
- 2θ 36.0, intensity 70, (0 0 10)
- 2θ 27.5, intensity 62, (1 0 3)
- 2θ 51.9, intensity 58, (2 0 0)
- 2θ 35.8, intensity 57, (1 0 7)
- 2θ 64.8, intensity 45, (2 0 10)
- 2θ 64.3, intensity 23, (1 1 14)
- 2θ 64.7, intensity 19, (2 1 7)
- 2θ 54.5, intensity 17, (1 0 13)

***

Diffraction record for Y4Ni12C. The XRD peak list is computed, not measured: it uses a DFT-relaxed cell (GGA-PBE, OQMD) and CuKα.
Lines closer than 0.1° are merged.

Atomic structure:
```
data_Y4Ni12C
_chemical_formula_sum 'Y8 Ni24 C2'
_cell_length_a 7.784
_cell_length_b 7.784
_cell_length_c 7.784
_cell_angle_alpha 90.00
_cell_angle_beta 90.00
_cell_angle_gamma 90.00
_space_group_name_H-M_alt 'I m -3 m'
_space_group_IT_number 229
_space_group_name_Hall '-I 4 2 3'
loop_
_atom_site_label
_atom_site_fract_x
_atom_site_fract_y
_atom_site_fract_z
Y1 0.250 0.250 0.250
Ni1 0.000 0.000 0.252
Ni2 0.000 0.250 0.500
C1 0.000 0.000 0.000
```

Main lines, most intense first (2θ = 5–70°):
- 2θ 40.1, intensity 100, (2 2 2)
- 2θ 46.7, intensity 49, (4 0 0)
- 2θ 68.1, intensity 29, (4 4 0)
- 2θ 32.5, intensity 3, (2 2 0)
- 2θ 22.9, intensity 2, (2 0 0)
- 2θ 58.1, intensity 1, (4 2 2)
- 2θ 52.6, intensity 1, (4 2 0)

***

Diffraction record for Os3C9S2O9. The XRD peak list is computed, not measured: it uses a DFT-relaxed cell (GGA-PBE, OQMD) and CuKα.
Lines closer than 0.1° are merged.

Atomic structure:
```
data_Os3C9S2O9
_chemical_formula_sum 'Os6 C18 S4 O18'
_cell_length_a 6.540
_cell_length_b 9.273
_cell_length_c 13.243
_cell_angle_alpha 82.17
_cell_angle_beta 84.33
_cell_angle_gamma 69.72
_space_group_name_H-M_alt 'P -1'
_space_group_IT_number 2
loop_
_space_group_symop_operation_xyz
'x,y,z'
'-x,-y,-z'
loop_
_atom_site_label
_atom_site_fract_x
_atom_site_fract_y
_atom_site_fract_z
Os1 0.080 0.201 0.156
Os2 0.172 0.263 0.346
Os3 0.208 0.896 0.257
C1 0.006 0.194 0.762
C2 0.065 0.564 0.612
C3 0.123 0.394 0.115
C4 0.193 0.098 0.038
C5 0.209 0.722 0.888
C6 0.259 0.178 0.479
C7 0.295 0.776 0.381
C8 0.362 0.382 0.322
C9 0.418 0.760 0.170
S1 0.058 0.882 0.677
S2 0.417 0.068 0.247
O1 0.133 0.252 0.772
O2 0.146 0.512 0.088
O3 0.204 0.456 0.586
O4 0.264 0.035 0.965
O5 0.308 0.119 0.560
O6 0.338 0.710 0.462
O7 0.387 0.677 0.914
O8 0.456 0.320 0.884
O9 0.479 0.453 0.306
```

Main lines, most intense first (2θ = 5–70°):
- 2θ 16.3, intensity 100, (1 0 -1)
- 2θ 13.5, intensity 96, (0 0 2)
- 2θ 16.9, intensity 81, (1 1 -1)
- 2θ 15.6, intensity 79, (1 0 1)
- 2θ 10.2, intensity 60, (0 1 0)
- 2θ 14.5, intensity 58, (1 0 0)
- 2θ 12.9, intensity 48, (0 1 -1)
- 2θ 15.3, intensity 44, (1 1 1)
- 2θ 29.2, intensity 36, (1 1 4)
- 2θ 20.4, intensity 35, (1 -1 0)

***

Diffraction record for Os3C10SO10. The XRD peak list is computed, not measured: it uses a DFT-relaxed cell (GGA-PBE, OQMD) and CuKα.
Lines closer than 0.1° are merged.

Atomic structure:
```
data_Os3C10SO10
_chemical_formula_sum 'Os6 C20 S2 O20'
_cell_length_a 6.704
_cell_length_b 9.262
_cell_length_c 12.808
_cell_angle_alpha 82.76
_cell_angle_beta 87.99
_cell_angle_gamma 71.81
_space_group_name_H-M_alt 'P -1'
_space_group_IT_number 2
loop_
_space_group_symop_operation_xyz
'x,y,z'
'-x,-y,-z'
loop_
_atom_site_label
_atom_site_fract_x
_atom_site_fract_y
_atom_site_fract_z
Os1 0.144 0.321 0.338
Os2 0.264 0.020 0.277
Os3 0.334 0.264 0.136
C1 0.044 0.233 0.204
C2 0.055 0.941 0.232
C3 0.151 0.581 0.653
C4 0.159 0.322 0.014
C5 0.167 0.252 0.484
C6 0.201 0.511 0.338
C7 0.258 0.921 0.416
C8 0.410 0.447 0.118
C9 0.437 0.856 0.940
C10 0.480 0.861 0.222
S1 0.496 0.166 0.305
O1 0.046 0.353 0.942
O2 0.070 0.106 0.797
O3 0.128 0.739 0.835
O4 0.189 0.208 0.574
O5 0.235 0.626 0.340
O6 0.251 0.858 0.500
O7 0.297 0.929 0.986
O8 0.331 0.525 0.646
O9 0.388 0.237 0.810
O10 0.454 0.560 0.109
```

Main lines, most intense first (2θ = 5–70°):
- 2θ 15.6, intensity 100, (1 0 1)
- 2θ 11.6, intensity 48, (0 1 1)
- 2θ 14.4, intensity 41, (1 1 0)
- 2θ 13.0, intensity 34, (0 1 -1)
- 2θ 13.9, intensity 30, (0 0 2)
- 2θ 19.3, intensity 15, (1 1 2)
- 2θ 29.5, intensity 13, (1 3 0)
- 2θ 33.4, intensity 12, (2 1 3)
- 2θ 31.1, intensity 12, (0 1 -4)
- 2θ 31.5, intensity 12, (2 0 2)

***

Diffraction record for Os2C6SO6. The XRD peak list is computed, not measured: it uses a DFT-relaxed cell (GGA-PBE, OQMD) and CuKα.
Lines closer than 0.1° are merged.

Atomic structure:
```
data_Os2C6SO6
_chemical_formula_sum 'Os8 C24 S4 O24'
_cell_length_a 8.228
_cell_length_b 8.964
_cell_length_c 13.961
_cell_angle_alpha 80.43
_cell_angle_beta 85.94
_cell_angle_gamma 68.40
_space_group_name_H-M_alt 'P -1'
_space_group_IT_number 2
loop_
_space_group_symop_operation_xyz
'x,y,z'
'-x,-y,-z'
loop_
_atom_site_label
_atom_site_fract_x
_atom_site_fract_y
_atom_site_fract_z
Os1 0.039 0.188 0.279
Os2 0.139 0.041 0.764
Os3 0.290 0.740 0.608
Os4 0.297 0.690 0.826
C1 0.033 0.388 0.206
C2 0.089 0.830 0.195
C3 0.134 0.704 0.929
C4 0.170 0.651 0.534
C5 0.171 0.215 0.375
C6 0.187 0.224 0.700
C7 0.232 0.035 0.887
C8 0.244 0.070 0.214
C9 0.353 0.464 0.833
C10 0.392 0.822 0.495
C11 0.476 0.535 0.631
C12 0.490 0.657 0.903
S1 0.049 0.001 0.610
S2 0.420 0.853 0.714
O1 0.036 0.513 0.168
O2 0.037 0.718 0.995
O3 0.107 0.596 0.485
O4 0.217 0.333 0.657
O5 0.224 0.745 0.170
O6 0.248 0.235 0.435
O7 0.293 0.030 0.960
O8 0.369 0.001 0.172
O9 0.385 0.326 0.839
O10 0.389 0.362 0.051
O11 0.407 0.589 0.357
O12 0.450 0.876 0.426
```

Main lines, most intense first (2θ = 5–70°):
- 2θ 11.6, intensity 100, (0 1 1)
- 2θ 13.3, intensity 99, (1 0 -1)
- 2θ 12.6, intensity 86, (1 1 0)
- 2θ 12.9, intensity 68, (0 0 2)
- 2θ 13.2, intensity 47, (1 0 1)
- 2θ 33.9, intensity 27, (2 2 4)
- 2θ 32.6, intensity 25, (2 1 4)
- 2θ 33.3, intensity 21, (1 -1 4)
- 2θ 18.0, intensity 21, (0 1 -2)
- 2θ 37.5, intensity 20, (-2 2 1)

***

Diffraction record for Re2PtC12O12. The XRD peak list is computed, not measured: it uses a DFT-relaxed cell (GGA-PBE, OQMD) and CuKα.
Lines closer than 0.1° are merged.

Atomic structure:
```
data_Re2PtC12O12
_chemical_formula_sum 'Re2 Pt1 C12 O12'
_cell_length_a 6.256
_cell_length_b 6.997
_cell_length_c 9.846
_cell_angle_alpha 71.80
_cell_angle_beta 86.48
_cell_angle_gamma 88.70
_space_group_name_H-M_alt 'P -1'
_space_group_IT_number 2
loop_
_space_group_symop_operation_xyz
'x,y,z'
'-x,-y,-z'
loop_
_atom_site_label
_atom_site_fract_x
_atom_site_fract_y
_atom_site_fract_z
Re1 0.215 0.116 0.226
Pt1 0.000 0.000 0.500
C1 0.047 0.726 0.843
C2 0.085 0.878 0.194
C3 0.110 0.736 0.537
C4 0.324 0.341 0.289
C5 0.369 0.202 0.042
C6 0.456 0.942 0.319
O1 0.010 0.740 0.174
O2 0.178 0.574 0.562
O3 0.202 0.637 0.883
O4 0.385 0.469 0.327
O5 0.404 0.159 0.628
O6 0.465 0.250 0.931
```

Main lines, most intense first (2θ = 5–70°):
- 2θ 13.3, intensity 100, (0 1 0)
- 2θ 16.6, intensity 98, (1 0 1)
- 2θ 19.4, intensity 72, (1 1 1)
- 2θ 13.7, intensity 70, (0 1 1)
- 2θ 33.9, intensity 58, (2 -1 1)
- 2θ 19.5, intensity 55, (1 -1 0)
- 2θ 32.9, intensity 47, (1 0 -3)
- 2θ 30.7, intensity 45, (1 2 2)
- 2θ 25.5, intensity 33, (0 2 1)
- 2θ 14.2, intensity 32, (1 0 0)

***

Repeat the ninth record exactly.
Diffraction record for Re2PtC12O12. The XRD peak list is computed, not measured: it uses a DFT-relaxed cell (GGA-PBE, OQMD) and CuKα.
Lines closer than 0.1° are merged.

Atomic structure:
```
data_Re2PtC12O12
_chemical_formula_sum 'Re2 Pt1 C12 O12'
_cell_length_a 6.256
_cell_length_b 6.997
_cell_length_c 9.846
_cell_angle_alpha 71.80
_cell_angle_beta 86.48
_cell_angle_gamma 88.70
_space_group_name_H-M_alt 'P -1'
_space_group_IT_number 2
loop_
_space_group_symop_operation_xyz
'x,y,z'
'-x,-y,-z'
loop_
_atom_site_label
_atom_site_fract_x
_atom_site_fract_y
_atom_site_fract_z
Re1 0.215 0.116 0.226
Pt1 0.000 0.000 0.500
C1 0.047 0.726 0.843
C2 0.085 0.878 0.194
C3 0.110 0.736 0.537
C4 0.324 0.341 0.289
C5 0.369 0.202 0.042
C6 0.456 0.942 0.319
O1 0.010 0.740 0.174
O2 0.178 0.574 0.562
O3 0.202 0.637 0.883
O4 0.385 0.469 0.327
O5 0.404 0.159 0.628
O6 0.465 0.250 0.931
```

Main lines, most intense first (2θ = 5–70°):
- 2θ 13.3, intensity 100, (0 1 0)
- 2θ 16.6, intensity 98, (1 0 1)
- 2θ 19.4, intensity 72, (1 1 1)
- 2θ 13.7, intensity 70, (0 1 1)
- 2θ 33.9, intensity 58, (2 -1 1)
- 2θ 19.5, intensity 55, (1 -1 0)
- 2θ 32.9, intensity 47, (1 0 -3)
- 2θ 30.7, intensity 45, (1 2 2)
- 2θ 25.5, intensity 33, (0 2 1)
- 2θ 14.2, intensity 32, (1 0 0)